Calculated X-ray diffraction stick pattern of MgMnP2O7 for Cu Kα (weighted mean of Kα1 and Kα2), from a PBE+U-relaxed structure.
Lines closer than 0.1° are merged.

Largest 10 diffraction maxima, by intensity, 10° ≤ 2θ ≤ 90°:
d 3.096, intensity 100; d 2.972, intensity 84; d 3.059, intensity 51; d 3.079, intensity 34; d 1.615, intensity 25; d 2.628, intensity 23; d 2.170, intensity 15; d 2.149, intensity 13; d 1.891, intensity 12; d 1.657, intensity 12

Cell and atoms:
Cell: 5.5281 6.5341 7.4506 Å, 81.27 85.66 72.00°
Fractional positions:
Mg  0.1694  0.3461  0.3511
Mg  0.8306  0.6539  0.6489
Mn  0.2298  0.8415  0.8130
Mn  0.7702  0.1585  0.1870
P  0.2783  0.8031  0.3862
P  0.3017  0.3154  0.9116
P  0.6983  0.6846  0.0884
P  0.7217  0.1969  0.6138
O  0.1111  0.6515  0.4285
O  0.1237  0.0421  0.3328
O  0.1397  0.5410  0.8265
O  0.1819  0.1375  0.9030
O  0.3877  0.3175  0.1031
O  0.4316  0.7315  0.2033
O  0.4601  0.7779  0.5398
O  0.5399  0.2221  0.4602
O  0.5684  0.2685  0.7967
O  0.6123  0.6825  0.8969
O  0.8181  0.8625  0.0970
O  0.8603  0.4590  0.1735
O  0.8763  0.9579  0.6672
O  0.8889  0.3485  0.5715

=====

Calculated X-ray diffraction stick pattern of Li2FeSi4O10 for Cu Kα (weighted mean of Kα1 and Kα2), from a PBE+U-relaxed structure.
Lines closer than 0.1° are merged.

Largest 10 diffraction maxima, by intensity, 10° ≤ 2θ ≤ 90°:
d 3.810, intensity 100; d 3.107, intensity 52; d 6.582, intensity 50; d 2.997, intensity 38; d 5.047, intensity 32; d 4.488, intensity 31; d 5.186, intensity 31; d 2.940, intensity 21; d 2.299, intensity 18; d 5.778, intensity 16

Cell and atoms:
Cell: 6.9313 7.6941 9.5778 Å, 69.65 79.80 63.95°
Fractional positions:
Li  0.1008  0.1951  0.4082
Li  0.2911  0.3080  0.9533
Li  0.7089  0.6920  0.0467
Li  0.8992  0.8049  0.5918
Fe  0.4297  0.8010  0.5741
Fe  0.5703  0.1990  0.4259
Si  0.1126  0.7661  0.8557
Si  0.2030  0.5661  0.1842
Si  0.2444  0.1241  0.7479
Si  0.3114  0.9065  0.2247
Si  0.6886  0.0935  0.7753
Si  0.7556  0.8759  0.2521
Si  0.7970  0.4339  0.8158
Si  0.8874  0.2339  0.1443
O  0.0514  0.3387  0.7633
O  0.1553  0.1346  0.1144
O  0.1839  0.7023  0.7071
O  0.1877  0.9370  0.8619
O  0.2035  0.5661  0.0079
O  0.2492  0.9005  0.3943
O  0.3014  0.1099  0.5814
O  0.3079  0.7223  0.1782
O  0.3240  0.3393  0.2872
O  0.4412  0.1169  0.8293
O  0.5588  0.8831  0.1707
O  0.6760  0.6607  0.7128
O  0.6921  0.2777  0.8218
O  0.6986  0.8901  0.4186
O  0.7508  0.0995  0.6057
O  0.7965  0.4339  0.9921
O  0.8123  0.0630  0.1381
O  0.8161  0.2977  0.2929
O  0.8447  0.8654  0.8856
O  0.9486  0.6613  0.2367

=====

Calculated X-ray diffraction stick pattern of BaLaNiRuO6 for Cu Kα (weighted mean of Kα1 and Kα2), from a PBE+U-relaxed structure.
Lines closer than 0.1° are merged.

Largest 10 diffraction maxima, by intensity, 10° ≤ 2θ ≤ 90°:
d 2.842, intensity 100; d 2.818, intensity 53; d 1.631, intensity 42; d 1.992, intensity 29; d 1.645, intensity 21; d 1.421, intensity 18; d 2.027, intensity 16; d 2.314, intensity 12; d 1.260, intensity 10; d 1.280, intensity 9

Cell and atoms:
Cell: 5.6843 5.6843 5.6843 Å, 120.57 120.57 89.02°
Fractional positions:
Ba  0.0000  0.0000  0.0000
La  0.5000  0.5000  0.0000
Ni  0.7500  0.2500  0.5000
Ru  0.2500  0.7500  0.5000
O  0.0065  0.5065  0.5000
O  0.0682  0.4779  0.0119
O  0.4659  0.0563  0.9881
O  0.4935  0.9935  0.5000
O  0.5221  0.5341  0.5904
O  0.9437  0.9318  0.4096